Computed powder XRD pattern of Pr4TcCl5 for Cu Kα (weighted mean of Kα1 and Kα2), from a GGA-PBE-relaxed structure.
Kinematic intensities with the Lorentz-polarization factor, no thermal factor.

Structural model:
Lattice parameters (Å, degrees): 18.3384 3.9246 9.3650 90.00 108.31 90.00
Space group C2/m (No. 12)
Inequivalent atoms, fractional coordinates:
Pr  0.0059  0.0000  0.2476 (multiplicity 4)
Pr  0.1500  0.5000  0.0866 (multiplicity 4)
Tc  0.0000  0.5000  0.0000 (multiplicity 2)
Cl  0.0000  0.5000  0.5000 (multiplicity 2)
Cl  0.1664  0.0000  0.8631 (multiplicity 4)
Cl  0.1712  0.0000  0.3246 (multiplicity 4)

Principal peaks in the range 10° ≤ 2θ ≤ 90°, in order of rising 2θ:
2θ (°)	d/Å	I (rel.)	(hkl)
10.16	8.705	543	2 0 0
24.67	3.608	193	1 1 -1
27.45	3.249	153	3 1 0
29.73	3.005	1000	1 1 -2
30.82	2.901	438	6 0 0
31.09	2.877	158	3 1 -2
38.53	2.337	228	2 0 -4
42.43	2.130	291	7 1 -2
44.24	2.047	301	5 1 2
46.27	1.962	145	0 2 0